No. 1
Structure and theoretical powder XRD pattern of Cs3Sb2I9 (a structure optimized by DFT (PBE); Cu Kα, 1.54184 Å).
Peak positions follow from Bragg's law for the DFT cell and can differ from measured ones.

Structure:
```
Cs3Sb2I9
1.0
8.6872 0.0000 0.0000
-4.3436 7.5233 0.0000
0.0000 0.0000 10.6035
Cs Sb I
3 2 9
Direct
0.0000 0.0000 0.0000
0.3333 0.6667 0.3257
0.6667 0.3333 0.6743
0.3333 0.6667 0.8154
0.6667 0.3333 0.1846
0.0000 0.5000 0.0000
0.1714 0.3428 0.6644
0.1714 0.8286 0.6644
0.3428 0.1714 0.3356
0.5000 0.0000 0.0000
0.5000 0.5000 0.0000
0.6572 0.8286 0.6644
0.8286 0.1714 0.3356
0.8286 0.6572 0.3356
```

The 10 most intense peaks (2θ = 10–80°), by angle:
2theta, I (rel.)
14.44, 13
25.14, 100
29.11, 96
41.63, 71
49.23, 35
49.33, 12
51.56, 19
68.30, 16
68.44, 15
75.92, 18

No. 2
Structure and theoretical powder XRD pattern of Cs2NaInI6 (a structure optimized by DFT (PBE); Cu Kα, 1.54184 Å).
Peak positions follow from Bragg's law for the DFT cell and can differ from measured ones.

Structure:
```
Cs2NaInI6
1.0
0.0000 6.1408 6.1408
6.1408 0.0000 6.1408
6.1408 6.1408 0.0000
Cs Na In I
2 1 1 6
Direct
0.2500 0.2500 0.2500
0.7500 0.7500 0.7500
0.0000 0.0000 0.0000
0.5000 0.5000 0.5000
0.2596 0.2596 0.7404
0.2596 0.7404 0.2596
0.2596 0.7404 0.7404
0.7404 0.2596 0.2596
0.7404 0.2596 0.7404
0.7404 0.7404 0.2596
```

The 10 most intense peaks (2θ = 10–80°), by angle:
2theta, I (rel.)
12.48, 13
25.12, 100
29.08, 90
41.60, 67
49.21, 45
51.56, 23
60.29, 11
66.35, 18
68.31, 29
75.91, 21

No. 3
Structure and theoretical powder XRD pattern of K2NaGaAs2 (a structure optimized by DFT (PBE); Cu Kα, 1.54184 Å).
Peak positions follow from Bragg's law for the DFT cell and can differ from measured ones.

Structure:
```
K2NaGaAs2
1.0
-3.4006 7.5339 3.3274
3.4006 -7.5339 3.3274
3.4006 7.5339 -3.3274
K Na Ga As
4 2 2 4
Direct
0.1729 0.2449 0.4178
0.3271 0.7449 0.0719
0.6729 0.2551 0.9281
0.8271 0.7551 0.5822
0.2500 0.2500 0.0000
0.7500 0.7500 0.0000
0.2500 0.7500 0.5000
0.7500 0.2500 0.5000
0.0948 0.7021 0.7969
0.4052 0.2021 0.6073
0.5948 0.7979 0.3927
0.9052 0.2979 0.2031
```

The 10 most intense peaks (2θ = 10–80°), by angle:
2theta, I (rel.)
11.75, 83
14.29, 69
22.10, 32
26.79, 21
30.27, 100
35.57, 49
36.01, 56
37.83, 80
49.54, 23
52.24, 26

No. 4
Structure and theoretical powder XRD pattern of K3Os (a structure optimized by DFT (PBE); Cu Kα, 1.54184 Å).
Peak positions follow from Bragg's law for the DFT cell and can differ from measured ones.

Structure:
```
K3Os
1.0
8.2852 0.0000 0.0000
0.0000 8.2852 0.0000
0.0000 0.0000 8.2852
K Os
12 4
Direct
0.0000 0.0000 0.0000
0.0000 0.5000 0.5000
0.2500 0.2500 0.2500
0.2500 0.2500 0.7500
0.2500 0.7500 0.2500
0.2500 0.7500 0.7500
0.5000 0.0000 0.5000
0.5000 0.5000 0.0000
0.7500 0.2500 0.2500
0.7500 0.2500 0.7500
0.7500 0.7500 0.2500
0.7500 0.7500 0.7500
0.0000 0.0000 0.5000
0.0000 0.5000 0.0000
0.5000 0.0000 0.0000
0.5000 0.5000 0.5000
```

The 10 most intense peaks (2θ = 10–80°), by angle:
2theta, I (rel.)
18.55, 47
21.45, 25
30.52, 100
35.95, 29
43.70, 18
47.86, 13
49.18, 12
54.24, 37
63.52, 11
72.10, 15

No. 5
Structure and theoretical powder XRD pattern of Er4Fe29Si5 (a structure optimized by DFT (PBE); Cu Kα, 1.54184 Å).
Peak positions follow from Bragg's law for the DFT cell and can differ from measured ones.

Structure:
```
Er4Fe29Si5
1.0
6.3258 0.0000 0.0000
0.8647 6.2785 0.0000
1.8523 1.4734 12.4206
Er Fe Si
4 29 5
Direct
0.1519 0.1579 0.3268
0.1549 0.1536 0.8261
0.8451 0.8464 0.1739
0.8481 0.8421 0.6732
0.0000 0.5000 0.0000
0.0000 0.5000 0.5000
0.1555 0.6620 0.3285
0.1598 0.1600 0.0781
0.1596 0.6553 0.8291
0.1631 0.1618 0.5751
0.1937 0.8086 0.4996
0.1973 0.8028 0.9998
0.2005 0.5010 0.1499
0.2043 0.4993 0.6477
0.3452 0.8414 0.1700
0.3491 0.8374 0.6685
0.4983 0.8089 0.3477
0.4992 0.5016 0.2501
0.5000 0.0000 0.0000
0.5000 0.1984 0.1517
0.5000 0.8016 0.8483
0.5008 0.4984 0.7499
0.5017 0.1911 0.6523
0.6509 0.1626 0.3315
0.6548 0.1586 0.8300
0.7957 0.5007 0.3523
0.7995 0.4990 0.8501
0.8027 0.1972 0.0002
0.8063 0.1914 0.5004
0.8369 0.8382 0.4249
0.8404 0.3447 0.1709
0.8402 0.8400 0.9219
0.8445 0.3380 0.6715
0.3913 0.4203 0.4453
0.3986 0.3991 0.9495
0.5000 0.0000 0.5000
0.6014 0.6009 0.0505
0.6087 0.5797 0.5547
```

The 10 most intense peaks (2θ = 10–80°), by angle:
2theta, I (rel.)
14.25, 20
30.49, 40
30.60, 23
37.34, 17
37.62, 37
38.41, 23
43.48, 73
43.55, 29
43.74, 100
43.82, 74

No. 6
Structure and theoretical powder XRD pattern of Ti3O7 (a structure optimized by DFT (PBE); Cu Kα, 1.54184 Å).
Peak positions follow from Bragg's law for the DFT cell and can differ from measured ones.

Structure:
```
Ti3O7
1.0
17.3978 -1.8536 0.0000
17.3978 1.8536 0.0000
-1.3595 0.0000 9.3992
Ti O
6 14
Direct
0.1937 0.1937 0.3410
0.2138 0.2138 0.0294
0.2331 0.2331 0.7225
0.7669 0.7669 0.2775
0.7862 0.7862 0.9706
0.8063 0.8063 0.6590
0.1401 0.1401 0.3665
0.1751 0.1751 0.1412
0.1954 0.1954 0.8405
0.2062 0.2062 0.5426
0.2510 0.2510 0.2560
0.2700 0.2700 0.9462
0.2903 0.2903 0.6599
0.7097 0.7097 0.3401
0.7300 0.7300 0.0538
0.7490 0.7490 0.7440
0.7938 0.7938 0.4574
0.8046 0.8046 0.1595
0.8249 0.8249 0.8588
0.8599 0.8599 0.6335
```

The 10 most intense peaks (2θ = 10–80°), by angle:
2theta, I (rel.)
10.27, 100
11.35, 22
14.92, 16
25.25, 30
27.33, 26
29.70, 10
30.18, 9
43.67, 12
49.15, 8
49.46, 12

No. 7
Structure and theoretical powder XRD pattern of LaMgCu2 (a structure optimized by DFT (PBE); Cu Kα, 1.54184 Å).
Peak positions follow from Bragg's law for the DFT cell and can differ from measured ones.

Structure:
```
LaMgCu2
1.0
4.6271 0.0000 0.0000
-2.3136 4.0072 0.0000
0.0000 0.0000 8.9766
La Mg Cu
2 2 4
Direct
0.3333 0.6667 0.2500
0.6667 0.3333 0.7500
0.0000 0.0000 0.0000
0.0000 0.0000 0.5000
0.3333 0.6667 0.5753
0.3333 0.6667 0.9247
0.6667 0.3333 0.0753
0.6667 0.3333 0.4247
```

The 10 most intense peaks (2θ = 10–80°), by angle:
2theta, I (rel.)
22.18, 43
24.32, 22
29.89, 9
37.51, 100
38.93, 73
55.17, 32
66.74, 8
69.57, 30
70.50, 12
75.71, 13